# Na5AgTeO2
Simulated X-ray powder pattern, Cu Kα, 1.54184 Å. Input: DFT lattice parameters and positions (PBE).
Peak positions follow from Bragg's law for the DFT cell and can differ from measured ones.

Structure:
a b c (Å): 4.7324 4.7324 8.9430
angles (deg): 90.00 90.00 90.00
Space group P4/mmm (No. 123)
Asymmetric unit:
Na: 0.0000 0.0000 0.0000 [1 per cell]
Na: 0.0000 0.5000 0.2445 [4 per cell]
Ag: 0.0000 0.0000 0.5000 [1 per cell]
Te: 0.5000 0.5000 0.0000 [1 per cell]
O: 0.0000 0.0000 0.2709 [2 per cell]

Principal peaks in the range 15 to 90 degrees two-theta, by angle:
2θ (°)	Rel. int.
21.24	1000
26.64	239
33.45	717
35.59	225
38.03	361
43.96	289
54.87	199
56.64	204